Starting from a structure optimized by DFT (PBE+U), the PXRD pattern of Sr2CaMoO6 was computed for λ = 1.5418 Å (Cu Kα).
Peak positions follow from Bragg's law for the DFT cell and can differ from measured ones.

Most intense lines, 10 to 80 degrees two-theta, low angle first:
index  2θ/deg  Rel. int.
0 1 1  18.35  11
0 2 0  30.01  23
1 1 -3  30.47  100
2 0 -2  30.79  24
2 2 -2  43.53  28
0 0 4  43.75  16
1 3 -3  53.58  15
0 2 4  53.96  10
3 1 -1  54.50  15
3 1 -5  54.61  12

Atomic structure:
abc: 5.8088 5.9555 10.0977
angles: 90.00 124.94 90.00
Fractional positions:
Sr1 0.2413 0.0457 0.2518
Sr2 0.2413 0.4543 0.7518
Sr3 0.7587 0.5457 0.2482
Sr4 0.7587 0.9543 0.7482
Ca1 0.5000 0.0000 0.0000
Ca2 0.5000 0.5000 0.5000
Mo1 0.0000 0.0000 0.5000
Mo2 0.0000 0.5000 0.0000
O1 0.1322 0.2309 0.9498
O2 0.1322 0.2691 0.4498
O3 0.2296 0.6866 0.9589
O4 0.2296 0.8134 0.4589
O5 0.3130 0.0301 0.7272
O6 0.3130 0.4699 0.2272
O7 0.6870 0.5301 0.7728
O8 0.6870 0.9699 0.2728
O9 0.7704 0.1866 0.5411
O10 0.7704 0.3134 0.0411
O11 0.8678 0.7309 0.5502
O12 0.8678 0.7691 0.0502

---

Starting from a structure optimized by DFT (PBE+U), the PXRD pattern of LiMn3Al2H6O12 was computed for λ = 1.5418 Å (Cu Kα).
Peak positions follow from Bragg's law for the DFT cell and can differ from measured ones.

Most intense lines, 10 to 80 degrees two-theta, low angle first:
index  2θ/deg  Rel. int.
0 0 2  18.67  100
2 -2 1  36.75  20
0 3 0  37.08  20
2 1 -3  37.43  18
2 -2 3  47.20  17
0 3 2  47.54  16
2 1 -5  47.91  17
-2 2 5  57.66  9
-4 1 2  62.40  6
0 3 -8  76.32  9

Atomic structure:
abc: 5.9541 7.9048 10.5024
angles: 105.29 105.78 101.92
Fractional positions:
Li1 0.0000 0.0000 0.0000
Li2 0.3172 0.3115 0.0017
Mn1 0.0801 0.3252 0.5057
Mn2 0.2373 0.9868 0.4970
Mn3 0.4094 0.6561 0.5016
Mn4 0.5762 0.3248 0.5035
Mn5 0.7378 0.9878 0.4984
Mn6 0.9075 0.6532 0.4975
Al1 0.1591 0.6557 0.0009
Al2 0.4886 0.9937 0.9981
Al3 0.6583 0.6558 0.0011
Al4 0.8282 0.3174 0.0032
H1 0.0133 0.6391 0.2140
H2 0.1528 0.3139 0.2107
H3 0.1630 0.9979 0.7906
H4 0.3090 0.6673 0.7874
H5 0.3556 0.9598 0.2055
H6 0.4980 0.3502 0.8014
H7 0.5031 0.6493 0.2056
H8 0.6307 0.0144 0.7907
H9 0.6888 0.2944 0.2110
H10 0.8103 0.6642 0.7966
H11 0.8180 0.9645 0.2005
H12 0.9626 0.3517 0.7963
O1 0.0196 0.9247 0.5952
O2 0.0259 0.3991 0.9003
O3 0.0951 0.2749 0.1080
O4 0.1245 0.7019 0.3935
O5 0.2160 0.5852 0.6120
O6 0.2215 0.0362 0.8933
O7 0.2914 0.9125 0.1017
O8 0.2933 0.3880 0.4015
O9 0.3645 0.2699 0.6071
O10 0.3721 0.7133 0.8934
O11 0.4448 0.6061 0.1012
O12 0.4590 0.0579 0.4003
O13 0.5361 0.9163 0.6051
O14 0.5652 0.3990 0.9054
O15 0.6001 0.7297 0.3910
O16 0.6266 0.2479 0.1071
O17 0.6901 0.0640 0.8947
O18 0.6917 0.5908 0.6023
O19 0.7523 0.9125 0.0965
O20 0.7943 0.3829 0.4012
O21 0.8591 0.2583 0.6058
O22 0.8724 0.7049 0.9005
O23 0.9440 0.0637 0.3955
O24 0.9452 0.5989 0.1087